No. 1
For Y3Sb4Au3, a structure optimized by DFT (PBE) gives the simulated X-ray diffraction stick pattern in this record (a wavelength of 1.5418 Å).
No peak broadening, texture or thermal motion is included.

Crystal structure
Lattice parameters (Å, degrees): 8.629 8.629 8.629 109.47 109.47 109.47
Fractional coordinates of all 20 atoms:
Y 0.125 0.875 0.250
Y 0.250 0.125 0.875
Y 0.375 0.625 0.750
Y 0.625 0.750 0.375
Y 0.750 0.375 0.625
Y 0.875 0.250 0.125
Sb 0.000 0.178 0.500
Sb 0.000 0.678 0.500
Sb 0.178 0.500 0.000
Sb 0.322 0.322 0.322
Sb 0.500 0.000 0.178
Sb 0.500 0.000 0.678
Sb 0.678 0.500 0.000
Sb 0.822 0.822 0.822
Au 0.125 0.750 0.875
Au 0.250 0.625 0.375
Au 0.375 0.250 0.625
Au 0.625 0.375 0.250
Au 0.750 0.875 0.125
Au 0.875 0.125 0.750

Main lines, by intensity (5 to 70 degrees two-theta):
2θ 33.66, intensity 1000
2θ 40.49, intensity 414
2θ 21.85, intensity 408
2θ 46.47, intensity 261
2θ 50.15, intensity 149
2θ 44.55, intensity 139

=====

No. 2
For Sc2Au, a structure optimized by DFT (PBE) gives the simulated X-ray diffraction stick pattern in this record (a wavelength of 1.5418 Å).
No peak broadening, texture or thermal motion is included.

Crystal structure
Lattice parameters (Å, degrees): 6.616 4.681 8.392 90.00 90.00 90.00
Fractional coordinates of all 12 atoms:
Sc 0.018 0.250 0.184
Sc 0.153 0.250 0.576
Sc 0.347 0.750 0.076
Sc 0.482 0.750 0.684
Sc 0.518 0.250 0.316
Sc 0.653 0.250 0.924
Sc 0.847 0.750 0.424
Sc 0.982 0.750 0.816
Au 0.242 0.250 0.899
Au 0.258 0.750 0.399
Au 0.742 0.250 0.601
Au 0.758 0.750 0.101

Main lines, by intensity (5 to 70 degrees two-theta):
2θ 25.61, intensity 1000
2θ 34.89, intensity 791
2θ 46.77, intensity 771
2θ 25.13, intensity 764
2θ 37.45, intensity 699
2θ 46.51, intensity 587

=====

No. 3
For ScAu4, a structure optimized by DFT (PBE) gives the simulated X-ray diffraction stick pattern in this record (a wavelength of 1.5418 Å).
No peak broadening, texture or thermal motion is included.

Crystal structure
Lattice parameters (Å, degrees): 6.666 6.666 4.100 90.00 90.00 90.00
Fractional coordinates of all 10 atoms:
Sc 0.000 0.000 0.000
Sc 0.500 0.500 0.500
Au 0.101 0.297 0.500
Au 0.203 0.601 0.000
Au 0.297 0.899 0.500
Au 0.399 0.203 0.000
Au 0.601 0.797 0.000
Au 0.703 0.101 0.500
Au 0.797 0.399 0.000
Au 0.899 0.703 0.500

Main lines, by intensity (5 to 70 degrees two-theta):
2θ 37.30, intensity 1000
2θ 42.91, intensity 343
2θ 63.28, intensity 219
2θ 44.18, intensity 151
2θ 62.29, intensity 111
2θ 25.51, intensity 89

=====

No. 4
For ScSiAu, a structure optimized by DFT (PBE) gives the simulated X-ray diffraction stick pattern in this record (a wavelength of 1.5418 Å).
No peak broadening, texture or thermal motion is included.

Crystal structure
Lattice parameters (Å, degrees): 4.262 4.262 6.863 90.00 90.00 120.00
Fractional coordinates of all 6 atoms:
Sc 0.000 0.000 0.000
Sc 0.000 0.000 0.500
Si 0.333 0.667 0.204
Si 0.333 0.667 0.796
Au 0.667 0.333 0.284
Au 0.667 0.333 0.716

Main lines, by intensity (5 to 70 degrees two-theta):
2θ 35.73, intensity 1000
2θ 24.11, intensity 864
2θ 42.42, intensity 570
2θ 56.63, intensity 264
2θ 50.41, intensity 248
2θ 25.97, intensity 237

=====

No. 5
For Sc2SnAu2, a structure optimized by DFT (PBE) gives the simulated X-ray diffraction stick pattern in this record (a wavelength of 1.5418 Å).
No peak broadening, texture or thermal motion is included.

Crystal structure
Lattice parameters (Å, degrees): 7.754 7.754 3.473 90.00 90.00 90.00
Fractional coordinates of all 10 atoms:
Sc 0.168 0.332 0.000
Sc 0.332 0.832 0.000
Sc 0.668 0.168 0.000
Sc 0.832 0.668 0.000
Sn 0.000 0.000 0.500
Sn 0.500 0.500 0.500
Au 0.129 0.629 0.500
Au 0.371 0.129 0.500
Au 0.629 0.871 0.500
Au 0.871 0.371 0.500

Main lines, by intensity (5 to 70 degrees two-theta):
2θ 36.63, intensity 1000
2θ 25.67, intensity 588
2θ 45.27, intensity 235
2θ 49.88, intensity 162
2θ 42.01, intensity 137
2θ 65.91, intensity 131

=====

No. 6
For Sc2SnAu2, a structure optimized by DFT (PBE) gives the simulated X-ray diffraction stick pattern in this record (a wavelength of 1.5418 Å).
No peak broadening, texture or thermal motion is included.

Crystal structure
Lattice parameters (Å, degrees): 7.684 7.684 7.067 90.00 90.00 90.00
Fractional coordinates of all 20 atoms:
Sc 0.151 0.151 0.000
Sc 0.184 0.184 0.500
Sc 0.316 0.684 0.000
Sc 0.349 0.651 0.500
Sc 0.651 0.349 0.500
Sc 0.684 0.316 0.000
Sc 0.816 0.816 0.500
Sc 0.849 0.849 0.000
Sn 0.000 0.500 0.250
Sn 0.000 0.500 0.750
Sn 0.500 0.000 0.250
Sn 0.500 0.000 0.750
Au 0.130 0.870 0.284
Au 0.130 0.870 0.716
Au 0.370 0.370 0.216
Au 0.370 0.370 0.784
Au 0.630 0.630 0.216
Au 0.630 0.630 0.784
Au 0.870 0.130 0.284
Au 0.870 0.130 0.716

Main lines, by intensity (5 to 70 degrees two-theta):
2θ 36.47, intensity 1000
2θ 36.99, intensity 626
2θ 25.93, intensity 546
2θ 25.21, intensity 454
2θ 45.29, intensity 380
2θ 49.98, intensity 209

=====

No. 7
For Sc2TcAu, a structure optimized by DFT (PBE) gives the simulated X-ray diffraction stick pattern in this record (a wavelength of 1.5418 Å).
No peak broadening, texture or thermal motion is included.

Crystal structure
Lattice parameters (Å, degrees): 6.617 6.617 6.617 90.00 90.00 90.00
Fractional coordinates of all 16 atoms:
Sc 0.250 0.250 0.250
Sc 0.250 0.250 0.750
Sc 0.250 0.750 0.250
Sc 0.250 0.750 0.750
Sc 0.750 0.250 0.250
Sc 0.750 0.250 0.750
Sc 0.750 0.750 0.250
Sc 0.750 0.750 0.750
Tc 0.000 0.000 0.000
Tc 0.000 0.500 0.500
Tc 0.500 0.000 0.500
Tc 0.500 0.500 0.000
Au 0.000 0.000 0.500
Au 0.000 0.500 0.000
Au 0.500 0.000 0.000
Au 0.500 0.500 0.500

Main lines, by intensity (5 to 70 degrees two-theta):
2θ 38.48, intensity 1000
2θ 26.95, intensity 364
2θ 69.60, intensity 337
2θ 55.55, intensity 168
2θ 62.80, intensity 149
2θ 23.28, intensity 143

=====

No. 8
For ScZn2Au, a structure optimized by DFT (PBE) gives the simulated X-ray diffraction stick pattern in this record (a wavelength of 1.5418 Å).
No peak broadening, texture or thermal motion is included.

Crystal structure
Lattice parameters (Å, degrees): 6.440 6.440 6.440 90.00 90.00 90.00
Fractional coordinates of all 16 atoms:
Sc 0.000 0.000 0.000
Sc 0.000 0.500 0.500
Sc 0.500 0.000 0.500
Sc 0.500 0.500 0.000
Zn 0.250 0.250 0.250
Zn 0.250 0.250 0.750
Zn 0.250 0.750 0.250
Zn 0.250 0.750 0.750
Zn 0.750 0.250 0.250
Zn 0.750 0.250 0.750
Zn 0.750 0.750 0.250
Zn 0.750 0.750 0.750
Au 0.000 0.000 0.500
Au 0.000 0.500 0.000
Au 0.500 0.000 0.000
Au 0.500 0.500 0.500

Main lines, by intensity (5 to 70 degrees two-theta):
2θ 39.58, intensity 1000
2θ 23.93, intensity 373
2θ 46.78, intensity 205
2θ 57.22, intensity 166
2θ 62.90, intensity 88
2θ 27.70, intensity 85

=====

No. 9
For SmSi2Au2, a structure optimized by DFT (PBE) gives the simulated X-ray diffraction stick pattern in this record (a wavelength of 1.5418 Å).
No peak broadening, texture or thermal motion is included.

Crystal structure
Lattice parameters (Å, degrees): 4.305 4.305 10.317 90.00 90.00 90.00
Fractional coordinates of all 10 atoms:
Sm 0.000 0.000 0.000
Sm 0.500 0.500 0.500
Si 0.000 0.000 0.387
Si 0.000 0.000 0.613
Si 0.500 0.500 0.113
Si 0.500 0.500 0.887
Au 0.000 0.500 0.250
Au 0.000 0.500 0.750
Au 0.500 0.000 0.250
Au 0.500 0.000 0.750

Main lines, by intensity (5 to 70 degrees two-theta):
2θ 34.20, intensity 1000
2θ 41.97, intensity 337
2θ 17.19, intensity 231
2θ 55.61, intensity 200
2θ 34.78, intensity 188
2θ 61.98, intensity 162

=====

No. 10
For SrSi2Au2, a structure optimized by DFT (PBE) gives the simulated X-ray diffraction stick pattern in this record (a wavelength of 1.5418 Å).
No peak broadening, texture or thermal motion is included.

Crystal structure
Lattice parameters (Å, degrees): 4.462 4.462 10.220 90.00 90.00 90.00
Fractional coordinates of all 10 atoms:
Sr 0.000 0.000 0.000
Sr 0.500 0.500 0.500
Si 0.000 0.000 0.383
Si 0.000 0.000 0.617
Si 0.500 0.500 0.117
Si 0.500 0.500 0.883
Au 0.000 0.500 0.250
Au 0.000 0.500 0.750
Au 0.500 0.000 0.250
Au 0.500 0.000 0.750

Main lines, by intensity (5 to 70 degrees two-theta):
2θ 33.38, intensity 1000
2θ 17.35, intensity 442
2θ 40.43, intensity 362
2θ 69.05, intensity 249
2θ 45.69, intensity 232
2θ 28.28, intensity 194

=====

No. 11
For SrSi3Au, a structure optimized by DFT (PBE) gives the simulated X-ray diffraction stick pattern in this record (a wavelength of 1.5418 Å).
No peak broadening, texture or thermal motion is included.

Crystal structure
Lattice parameters (Å, degrees): 4.463 4.463 9.892 90.00 90.00 90.00
Fractional coordinates of all 10 atoms:
Sr 0.000 0.000 0.000
Sr 0.500 0.500 0.500
Si 0.000 0.000 0.378
Si 0.000 0.500 0.257
Si 0.000 0.500 0.757
Si 0.500 0.000 0.257
Si 0.500 0.000 0.757
Si 0.500 0.500 0.878
Au 0.000 0.000 0.634
Au 0.500 0.500 0.134

Main lines, by intensity (5 to 70 degrees two-theta):
2θ 33.80, intensity 1000
2θ 21.85, intensity 721
2θ 28.28, intensity 642
2θ 33.69, intensity 561
2θ 53.68, intensity 538
2θ 40.42, intensity 519

=====

No. 12
For ThSi2Au2, a structure optimized by DFT (PBE) gives the simulated X-ray diffraction stick pattern in this record (a wavelength of 1.5418 Å).
No peak broadening, texture or thermal motion is included.

Crystal structure
Lattice parameters (Å, degrees): 4.345 4.345 10.296 90.00 90.00 90.00
Fractional coordinates of all 10 atoms:
Th 0.000 0.000 0.000
Th 0.500 0.500 0.500
Si 0.000 0.000 0.387
Si 0.000 0.000 0.613
Si 0.500 0.500 0.113
Si 0.500 0.500 0.887
Au 0.000 0.500 0.250
Au 0.000 0.500 0.750
Au 0.500 0.000 0.250
Au 0.500 0.000 0.750

Main lines, by intensity (5 to 70 degrees two-theta):
2θ 33.98, intensity 1000
2θ 41.57, intensity 336
2θ 22.21, intensity 226
2θ 55.34, intensity 208
2θ 34.86, intensity 189
2θ 33.27, intensity 172